Li2CrCo3O8: computed X-ray powder pattern (copper Kα), based on a cell relaxed with GGA+U.

Top 8 peaks for 2θ = 10–90°, in order of rising 2θ:
- 18.66°, intensity 54
- 18.96°, intensity 100
- 36.33°, intensity 16
- 36.66°, intensity 35
- 36.82°, intensity 20
- 44.53°, intensity 79
- 64.36°, intensity 23
- 65.23°, intensity 23

Atomic structure:
abc: 5.7908 5.7908 5.7908
angles: 59.21 59.21 59.21
Element x y z (fractional)
Li1 0.1228 0.1228 0.1228
Li2 0.8772 0.8772 0.8772
Cr1 0.5000 0.5000 0.5000
Co1 0.0000 0.5000 0.5000
Co2 0.5000 0.0000 0.5000
Co3 0.5000 0.5000 0.0000
O1 0.2551 0.2551 0.7073
O2 0.2551 0.7073 0.2551
O3 0.2629 0.2629 0.2629
O4 0.2927 0.7449 0.7449
O5 0.7073 0.2551 0.2551
O6 0.7371 0.7371 0.7371
O7 0.7449 0.2927 0.7449
O8 0.7449 0.7449 0.2927



Li4Cr3CoO8: computed X-ray powder pattern (copper Kα), based on a cell relaxed with GGA+U.

Top 8 peaks for 2θ = 10–90°, in order of rising 2θ:
- 18.36°, intensity 100
- 35.88°, intensity 40
- 43.49°, intensity 78
- 47.58°, intensity 12
- 57.40°, intensity 14
- 63.00°, intensity 20
- 63.40°, intensity 21
- 66.62°, intensity 14

Atomic structure:
abc: 5.0822 5.1181 5.8688
angles: 106.57 90.03 99.47
Element x y z (fractional)
Li1 0.2385 0.4967 0.3777
Li2 0.2513 0.4912 0.8689
Li3 0.7487 0.5088 0.1311
Li4 0.7615 0.5033 0.6223
Cr1 0.0000 0.0000 0.0000
Cr2 0.4993 0.9995 0.2527
Cr3 0.5007 0.0005 0.7473
Co1 0.0000 0.0000 0.5000
O1 0.1250 0.7764 0.2008
O2 0.1267 0.7779 0.6884
O3 0.3613 0.2234 0.5553
O4 0.3722 0.2274 0.0568
O5 0.6278 0.7726 0.9432
O6 0.6387 0.7766 0.4447
O7 0.8733 0.2221 0.3116
O8 0.8750 0.2236 0.7992



Li4Cr3CoO8: computed X-ray powder pattern (copper Kα), based on a cell relaxed with GGA+U.

Top 8 peaks for 2θ = 10–90°, in order of rising 2θ:
- 18.37°, intensity 100
- 35.88°, intensity 40
- 37.51°, intensity 12
- 43.50°, intensity 78
- 47.59°, intensity 12
- 57.41°, intensity 14
- 63.04°, intensity 14
- 63.40°, intensity 21

Atomic structure:
abc: 5.1177 7.7631 7.7642
angles: 81.74 83.74 71.09
Element x y z (fractional)
Li1 0.0022 0.4358 0.1902
Li2 0.0059 0.1854 0.9346
Li3 0.0059 0.6841 0.4433
Li4 0.0090 0.9329 0.6884
Li5 0.9910 0.0671 0.3116
Li6 0.9941 0.3159 0.5567
Li7 0.9941 0.8146 0.0654
Li8 0.9978 0.5642 0.8098
Cr1 0.4987 0.7462 0.2545
Cr2 0.5000 0.0000 0.5000
Cr3 0.4998 0.1264 0.1261
Cr4 0.5000 0.5000 0.0000
Cr5 0.5002 0.8736 0.8739
Cr6 0.5013 0.2538 0.7455
Co1 0.4999 0.3760 0.3758
Co2 0.5001 0.6240 0.6242
O1 0.2730 0.0901 0.7172
O2 0.2732 0.3391 0.9661
O3 0.2726 0.9628 0.0942
O4 0.2758 0.5830 0.2224
O5 0.2759 0.8339 0.4733
O6 0.2770 0.2185 0.3442
O7 0.2766 0.7114 0.8374
O8 0.2832 0.4675 0.5864
O9 0.7168 0.5325 0.4136
O10 0.7234 0.2886 0.1626
O11 0.7230 0.7815 0.6558
O12 0.7241 0.1661 0.5267
O13 0.7242 0.4170 0.7776
O14 0.7274 0.0372 0.9058
O15 0.7268 0.6609 0.0339
O16 0.7270 0.9099 0.2828



Li2CrCo3O8: computed X-ray powder pattern (copper Kα), based on a cell relaxed with GGA+U.

Top 8 peaks for 2θ = 10–90°, in order of rising 2θ:
- 18.86°, intensity 100
- 36.58°, intensity 46
- 38.27°, intensity 12
- 44.48°, intensity 52
- 48.71°, intensity 10
- 58.90°, intensity 19
- 64.72°, intensity 31
- 68.08°, intensity 13

Atomic structure:
abc: 8.1479 8.1479 8.1479
angles: 90.05 90.05 90.05
Element x y z (fractional)
Li1 0.1234 0.1234 0.1234
Li2 0.1238 0.6246 0.6268
Li3 0.3732 0.3754 0.8762
Li4 0.3754 0.8762 0.3732
Li5 0.6246 0.6268 0.1238
Li6 0.6268 0.1238 0.6246
Li7 0.8762 0.3732 0.3754
Li8 0.8766 0.8766 0.8766
Cr1 0.0000 0.7511 0.2489
Cr2 0.2489 0.0000 0.7511
Cr3 0.5000 0.5000 0.5000
Cr4 0.7511 0.2489 0.0000
Co1 0.0000 0.2537 0.7463
Co2 0.0041 0.5000 0.9959
Co3 0.2455 0.2490 0.4968
Co4 0.2490 0.4968 0.2455
Co5 0.2537 0.7463 0.0000
Co6 0.4968 0.2455 0.2490
Co7 0.5000 0.9959 0.0041
Co8 0.5032 0.7510 0.7545
Co9 0.7463 0.0000 0.2537
Co10 0.7510 0.7545 0.5032
Co11 0.7545 0.5032 0.7510
Co12 0.9959 0.0041 0.5000
O1 0.0048 0.0175 0.7319
O2 0.0136 0.2368 0.5117
O3 0.0175 0.7319 0.0048
O4 0.0192 0.5031 0.2305
O5 0.2305 0.0192 0.5031
O6 0.2353 0.2454 0.7267
O7 0.2368 0.5117 0.0136
O8 0.2454 0.7267 0.2353
O9 0.2550 0.4820 0.4819
O10 0.2620 0.2620 0.2620
O11 0.2681 0.9825 0.9952
O12 0.2733 0.7546 0.7647
O13 0.4819 0.2550 0.4820
O14 0.4820 0.4819 0.2550
O15 0.4883 0.7632 0.9864
O16 0.4969 0.9808 0.7695
O17 0.5031 0.2305 0.0192
O18 0.5117 0.0136 0.2368
O19 0.5181 0.5180 0.7450
O20 0.5180 0.7450 0.5181
O21 0.7267 0.2353 0.2454
O22 0.7319 0.0048 0.0175
O23 0.7380 0.7380 0.7380
O24 0.7450 0.5181 0.5180
O25 0.7546 0.7647 0.2733
O26 0.7632 0.9864 0.4883
O27 0.7647 0.2733 0.7546
O28 0.7695 0.4969 0.9808
O29 0.9808 0.7695 0.4969
O30 0.9825 0.9952 0.2681
O31 0.9864 0.4883 0.7632
O32 0.9952 0.2681 0.9825